# Ac5AgS8
Computed powder diffraction line list, Cu Ka. Input: the PBE geometry in Alexandria.
Kinematic intensities with the Lorentz-polarization factor, no thermal factor.

Main lines, sorted by position (5 to 70 degrees two-theta):
| 2θ (°) | Rel. int. |
| --- | --- |
| 24.11 | 58 |
| 24.27 | 100 |
| 31.19 | 33 |
| 31.54 | 79 |
| 37.22 | 29 |
| 47.32 | 27 |

Structural model:
Lattice parameters (Å, degrees): 7.7967 7.7967 7.7967 109.82 109.82 108.78
Atoms (fractional coordinates):
Ac  0.0000  0.0000  0.0000
Ac  0.2494  0.6326  0.1166
Ac  0.3674  0.4841  0.6168
Ac  0.5159  0.1327  0.8834
Ac  0.8673  0.7506  0.3832
Ag  0.7500  0.2500  0.5000
S  0.1140  0.2264  0.7514
S  0.1448  0.7471  0.7602
S  0.2529  0.0131  0.3976
S  0.4750  0.3626  0.2486
S  0.6154  0.8552  0.6024
S  0.6374  0.8860  0.1124
S  0.7736  0.5250  0.8876
S  0.9869  0.3846  0.2398

---

# Ac2ScAg2S6
Computed powder diffraction line list, Cu Ka. Input: the PBE geometry in Alexandria.
Kinematic intensities with the Lorentz-polarization factor, no thermal factor.

Main lines, sorted by position (5 to 70 degrees two-theta):
| 2θ (°) | Rel. int. |
| --- | --- |
| 24.22 | 100 |
| 27.62 | 63 |
| 29.65 | 25 |
| 37.06 | 39 |
| 44.77 | 45 |
| 49.62 | 25 |

Structural model:
Lattice parameters (Å, degrees): 7.5516 7.5516 7.5516 58.23 58.23 58.23
Atoms (fractional coordinates):
Ac  0.2102  0.2102  0.2102
Ac  0.7898  0.7898  0.7898
Sc  0.0000  0.0000  0.0000
Ag  0.4167  0.4167  0.4167
Ag  0.5833  0.5833  0.5833
S  0.2026  0.7615  0.7615
S  0.2385  0.2385  0.7974
S  0.2385  0.7974  0.2385
S  0.7615  0.2026  0.7615
S  0.7615  0.7615  0.2026
S  0.7974  0.2385  0.2385

---

# AcAg2SeS2
Computed powder diffraction line list, Cu Ka. Input: the PBE geometry in Alexandria.
Kinematic intensities with the Lorentz-polarization factor, no thermal factor.

Main lines, sorted by position (5 to 70 degrees two-theta):
| 2θ (°) | Rel. int. |
| --- | --- |
| 24.29 | 43 |
| 24.83 | 100 |
| 31.31 | 51 |
| 32.47 | 60 |
| 39.08 | 37 |
| 40.02 | 48 |

Structural model:
Lattice parameters (Å, degrees): 5.5283 5.7130 9.2410 90.00 93.99 90.00
Atoms (fractional coordinates):
Ac  0.2348  0.2500  0.3509
Ac  0.7652  0.7500  0.6491
Ag  0.2912  0.7500  0.8874
Ag  0.3098  0.2500  0.8863
Ag  0.6902  0.7500  0.1137
Ag  0.7088  0.2500  0.1126
Se  0.1907  0.7500  0.1493
Se  0.8093  0.2500  0.8507
S  0.2645  0.5088  0.6355
S  0.2645  0.9912  0.6355
S  0.7355  0.0088  0.3645
S  0.7355  0.4912  0.3645